Record 1
The following is a theoretical powder X-ray diffraction pattern of IrN2. It was derived from a cell relaxed with GGA-PBE, using copper Kα.

Peak list (6 most intense, 2θ from 10° to 90°, by angle)
d = 2.803 Å, I 100
d = 2.428 Å, I 71
d = 1.717 Å, I 47
d = 1.464 Å, I 52
d = 1.402 Å, I 16
d = 1.114 Å, I 23

Crystal structure
```
IrN2
1.0
4.8556 0.0000 0.0000
0.0000 4.8556 0.0000
0.0000 0.0000 4.8556
Ir N
4 8
Direct
0.0000 0.0000 0.0000 Ir
0.0000 0.5000 0.5000 Ir
0.5000 0.0000 0.5000 Ir
0.5000 0.5000 0.0000 Ir
0.0823 0.5823 0.9177 N
0.0823 0.9177 0.4177 N
0.4177 0.0823 0.9177 N
0.4177 0.4177 0.4177 N
0.5823 0.5823 0.5823 N
0.5823 0.9177 0.0823 N
0.9177 0.0823 0.5823 N
0.9177 0.4177 0.0823 N
```

Record 2
The following is a theoretical powder X-ray diffraction pattern of LiHF2. It was derived from a cell relaxed with GGA-PBE, using copper Kα.

Peak list (6 most intense, 2θ from 10° to 90°, by angle)
d = 2.471 Å, I 100
d = 2.251 Å, I 31
d = 1.933 Å, I 35
d = 1.898 Å, I 57
d = 1.606 Å, I 16
d = 1.500 Å, I 23

Crystal structure
```
LiHF2
1.0
2.4519 -1.9328 0.0000
2.4519 1.9328 0.0000
-1.3346 0.0000 3.0950
Li H F
1 1 2
Direct
0.0000 0.0000 0.0000 Li
0.0000 0.0000 0.5000 H
0.2451 0.2451 0.7228 F
0.7549 0.7549 0.2772 F
```

Record 3
The following is a theoretical powder X-ray diffraction pattern of K2TlAsF6. It was derived from a cell relaxed with GGA-PBE, using copper Kα.

Peak list (6 most intense, 2θ from 10° to 90°, by angle)
d = 4.693 Å, I 61
d = 3.318 Å, I 100
d = 2.347 Å, I 40
d = 2.099 Å, I 28
d = 1.916 Å, I 40
d = 1.659 Å, I 24

Crystal structure
```
K2TlAsF6
1.0
0.0000 4.6930 4.6930
4.6930 0.0000 4.6930
4.6930 4.6930 0.0000
K Tl As F
2 1 1 6
Direct
0.2500 0.2500 0.2500 K
0.7500 0.7500 0.7500 K
0.0000 0.0000 0.0000 Tl
0.5000 0.5000 0.5000 As
0.2799 0.2799 0.7201 F
0.2799 0.7201 0.2799 F
0.2799 0.7201 0.7201 F
0.7201 0.2799 0.2799 F
0.7201 0.2799 0.7201 F
0.7201 0.7201 0.2799 F
```

Record 4
The following is a theoretical powder X-ray diffraction pattern of CeSe2. It was derived from a cell relaxed with GGA-PBE, using copper Kα.

Peak list (6 most intense, 2θ from 10° to 90°, by angle)
d = 6.741 Å, I 58
d = 5.830 Å, I 100
d = 4.974 Å, I 68
d = 4.494 Å, I 27
d = 2.531 Å, I 33
d = 2.487 Å, I 26

Crystal structure
```
CeSe2
1.0
13.4823 7.7840 2.5881
-13.4823 7.7840 2.5881
0.0000 -15.5681 2.5881
Ce Se
6 12
Direct
0.1799 0.7500 0.3201 Ce
0.2500 0.6799 0.8201 Ce
0.3201 0.1799 0.7500 Ce
0.6799 0.8201 0.2500 Ce
0.7500 0.3201 0.1799 Ce
0.8201 0.2500 0.6799 Ce
0.0000 0.0000 0.5000 Se
0.0000 0.5000 0.0000 Se
0.0000 0.5000 0.5000 Se
0.0036 0.4964 0.7500 Se
0.2500 0.9964 0.5036 Se
0.4964 0.7500 0.0036 Se
0.5000 0.0000 0.0000 Se
0.5000 0.0000 0.5000 Se
0.5000 0.5000 0.0000 Se
0.5036 0.2500 0.9964 Se
0.7500 0.0036 0.4964 Se
0.9964 0.5036 0.2500 Se
```